The following is a computed PXRD pattern of TmThB12. It was derived from a cell relaxed with GGA-PBE, using Cu Kα.
Lines closer than 0.1° are merged.

Structural model:
Lattice parameters (Å, degrees): 4.0964 4.0964 8.1970 90.00 90.00 90.00
Fractional coordinates of all 14 atoms:
Tm  0.0000  0.0000  0.0000
Th  0.0000  0.0000  0.5000
B  0.1978  0.5000  0.2479
B  0.1978  0.5000  0.7521
B  0.5000  0.1978  0.2479
B  0.5000  0.1978  0.7521
B  0.5000  0.5000  0.0984
B  0.5000  0.5000  0.4004
B  0.5000  0.5000  0.5996
B  0.5000  0.5000  0.9016
B  0.5000  0.8022  0.2479
B  0.5000  0.8022  0.7521
B  0.8022  0.5000  0.2479
B  0.8022  0.5000  0.7521

Most intense lines, 10° ≤ 2θ ≤ 90°, in order of falling intensity:
two_theta  intensity  h k l
30.9  100  1 1 0
21.7  77  1 0 0
49.8  52  2 1 0
38.0  42  1 1 2
54.9  31  2 1 2
68.7  28  2 2 2
44.2  21  2 0 0
73.0  20  3 1 0
89.5  20  3 2 2
77.2  14  3 1 2
64.3  11  2 2 0
85.4  10  3 2 0